For VCdPO7, a structure optimized by DFT (PBE+U) gives the theoretical XRD peak list in this record (copper Kα).
Peak positions follow from Bragg's law for the DFT cell and can differ from measured ones.

Principal peaks in the range 2θ from 15° to 90°, by angle:
| 2θ/deg | d/Å | Rel. int. |
| --- | --- | --- |
| 17.72 | 5.005 | 100 |
| 23.66 | 3.761 | 45 |
| 24.94 | 3.570 | 31 |
| 25.31 | 3.520 | 27 |
| 30.50 | 2.931 | 21 |
| 31.07 | 2.879 | 65 |
| 34.91 | 2.570 | 25 |
| 36.62 | 2.454 | 21 |
| 44.42 | 2.039 | 18 |
| 55.37 | 1.659 | 21 |

Structure:
```
20
Lattice="5.531 0.000 0.000 0.000 7.039 0.000 -2.169 0.000 7.140" Properties=species:S:1:pos:R:3 pbc="T T T"
V 0.185 0.000 0.290
V 3.178 3.520 6.850
Cd 1.642 3.705 3.596
Cd 1.721 0.185 3.545
P -1.113 5.466 4.693
P 4.476 1.947 2.448
O -1.577 1.933 7.027
O -1.142 6.769 5.594
O -1.102 4.197 5.606
O 0.177 1.913 3.369
O 0.221 5.496 3.930
O 1.152 3.800 1.297
O 1.480 6.748 1.287
O 1.883 3.228 5.853
O 2.211 0.281 5.843
O 3.141 1.977 3.210
O 3.186 5.433 3.771
O 4.464 0.678 1.535
O 4.505 3.250 1.547
O 4.939 5.452 0.113
```